# 1
For PuCd4Hg2, a cell relaxed with GGA-PBE gives the computed powder X-ray diffraction pattern in this record (a wavelength of 1.5418 Å).

Structural model:
Cell lengths 3.1013, 34.7898, 3.1690 Å; angles 90.00, 90.00, 90.00 degrees
Space group Cmmm (No. 65)
Symmetry-distinct sites (fractional):
Pu 0.0000 0.0000 0.0000 (multiplicity 2)
Cd 0.0000 0.1464 0.5000 (multiplicity 4)
Cd 0.0000 0.2875 0.0000 (multiplicity 4)
Hg 0.0000 0.4290 0.5000 (multiplicity 4)

Most intense lines, 10 to 80 degrees two-theta, most intense first:
2theta  Rel. int.
34.08  100
30.01  50
41.48  47
36.15  42
38.42  31
69.21  25
50.27  21
40.79  17
61.69  16
63.68  16

# 2
For La3Tb2Dy8, a cell relaxed with GGA-PBE gives the computed powder X-ray diffraction pattern in this record (a wavelength of 1.5418 Å).

Structural model:
Cell lengths 5.6094, 6.8491, 11.8104 Å; angles 102.14, 103.73, 90.02 degrees
Space group P-1 (No. 2)
Symmetry-distinct sites (fractional):
La 0.0000 0.0000 0.0000 (multiplicity 1)
La 0.4886 0.7061 0.9772 (multiplicity 2)
Tb 0.2296 0.8110 0.4586 (multiplicity 2)
Dy 0.0783 0.5954 0.1562 (multiplicity 2)
Dy 0.1780 0.2610 0.3558 (multiplicity 2)
Dy 0.3311 0.4803 0.6628 (multiplicity 2)
Dy 0.3756 0.0222 0.7511 (multiplicity 2)

Most intense lines, 10 to 80 degrees two-theta, most intense first:
2theta  Rel. int.
31.22  100
31.89  81
30.77  71
32.20  26
45.72  21
56.43  19
54.58  14
56.15  13
43.06  13
32.47  12